# 1
This entry pairs a crystal structure of Sm2Y3In4 with its simulated powder diffractogram. Radiation: Cu Kα X-rays. Structure: a crystal structure in Alexandria, relaxed with GGA-PBE.
Intensities are scaled so that the largest is 100.

Principal peaks in the range 10° ≤ 2θ ≤ 80°, by angle:
(1 1 1), 2θ = 21.12°, d 4.208, I = 6; (1 1 3), 2θ = 32.35°, d 2.767, I = 100; (3 1 0), 2θ = 33.74°, d 2.657, I = 93; (2 0 4), 2θ = 39.85°, d 2.262, I = 3; (4 0 3), 2θ = 47.44°, d 1.917, I = 34; (2 0 6), 2θ = 56.80°, d 1.621, I = 17; (4 2 3), 2θ = 59.47°, d 1.554, I = 34; (6 0 0), 2θ = 60.34°, d 1.534, I = 17; (2 2 6), 2θ = 67.72°, d 1.384, I = 10; (6 2 0), 2θ = 70.95°, d 1.328, I = 10; (4 2 -6), 2θ = 77.80°, d 1.228, I = 9; (5 1 6), 2θ = 77.91°, d 1.226, I = 4

Structure:
a b c (Å): 9.1990 5.3161 10.3904
angles (deg): 90.00 90.08 90.00
Space group C2/m (No. 12)
One atom of each set of equivalent atoms:
1 Sm 0.1669 0.0000 0.2792 [4 per cell]
2 Y 0.0000 0.5000 0.5000 [2 per cell]
3 Y 0.1666 0.0000 0.9246 [4 per cell]
4 In 0.0001 0.5000 0.1513 [4 per cell]
5 In 0.1665 0.0000 0.6015 [4 per cell]

***

# 2
This entry pairs a crystal structure of CsCa2AlF8 with its simulated powder diffractogram. Radiation: Cu Kα X-rays. Structure: a crystal structure in Alexandria, relaxed with GGA-PBE.
Intensities are scaled so that the largest is 100.

Principal peaks in the range 10° ≤ 2θ ≤ 80°, by angle:
(0 1 0), 2θ = 17.43°, d 5.089, I = 37; (1 1 0), 2θ = 21.78°, d 4.081, I = 100; (1 1 1), 2θ = 23.40°, d 3.802, I = 27; (0 1 -1), 2θ = 23.58°, d 3.773, I = 29; (0 1 2), 2θ = 26.93°, d 3.311, I = 52; (1 -1 0), 2θ = 28.11°, d 3.174, I = 70; (1 0 2), 2θ = 31.31°, d 2.857, I = 35; (1 -1 1), 2θ = 32.66°, d 2.742, I = 28; (0 1 3), 2θ = 37.67°, d 2.388, I = 28; (2 1 -1), 2θ = 39.36°, d 2.289, I = 34; (2 1 2), 2θ = 42.86°, d 2.110, I = 39; (-1 2 2), 2θ = 46.14°, d 1.967, I = 29

Structure:
a b c (Å): 5.0948 5.3864 7.3887
angles (deg): 77.10 88.93 75.87
Space group P-1 (No. 2)
One atom of each set of equivalent atoms:
1 Cs 0.0000 0.0000 0.0000 [1 per cell]
2 Ca 0.4682 0.4010 0.2613 [2 per cell]
3 Al 0.0000 0.0000 0.5000 [1 per cell]
4 F 0.0844 0.2501 0.3138 [2 per cell]
5 F 0.2537 0.7235 0.4254 [2 per cell]
6 F 0.2692 0.0173 0.6480 [2 per cell]
7 F 0.3947 0.3220 0.9714 [2 per cell]

***

# 3
This entry pairs a crystal structure of LiGa2Ni with its simulated powder diffractogram. Radiation: Cu Kα X-rays. Structure: a crystal structure in Alexandria, relaxed with GGA-PBE.
Intensities are scaled so that the largest is 100.

Principal peaks in the range 10° ≤ 2θ ≤ 80°, by angle:
(1 1 1), 2θ = 26.08°, d 3.417, I = 20; (2 0 0), 2θ = 30.20°, d 2.959, I = 17; (2 2 0), 2θ = 43.24°, d 2.093, I = 100; (3 1 1), 2θ = 51.19°, d 1.785, I = 9; (2 2 2), 2θ = 53.64°, d 1.709, I = 4; (4 0 0), 2θ = 62.80°, d 1.480, I = 16; (3 3 1), 2θ = 69.19°, d 1.358, I = 3; (4 2 0), 2θ = 71.25°, d 1.323, I = 6; (4 2 2), 2θ = 79.30°, d 1.208, I = 31

Structure:
a b c (Å): 5.9186 5.9186 5.9186
angles (deg): 90.00 90.00 90.00
Space group Fm-3m (No. 225)
One atom of each set of equivalent atoms:
1 Li 0.0000 0.0000 0.0000 [4 per cell]
2 Ga 0.2500 0.2500 0.2500 [8 per cell]
3 Ni 0.0000 0.0000 0.5000 [4 per cell]

***

# 4
This entry pairs a crystal structure of LiCu3Sn2 with its simulated powder diffractogram. Radiation: Cu Kα X-rays. Structure: a crystal structure in Alexandria, relaxed with GGA-PBE.
Intensities are scaled so that the largest is 100.

Principal peaks in the range 10° ≤ 2θ ≤ 80°, by angle:
(0 0 1), 2θ = 12.54°, d 7.059, I = 90; (1 1 -1), 2θ = 23.24°, d 3.828, I = 38; (0 0 2), 2θ = 25.23°, d 3.530, I = 50; (4 0 -1), 2θ = 26.38°, d 3.379, I = 20; (4 0 -3), 2θ = 35.02°, d 2.562, I = 32; (1 1 2), 2θ = 36.43°, d 2.466, I = 47; (5 1 -1), 2θ = 39.66°, d 2.272, I = 85; (1 1 -3), 2θ = 40.84°, d 2.209, I = 72; (0 2 0), 2θ = 41.56°, d 2.173, I = 66; (5 1 -3), 2θ = 43.78°, d 2.068, I = 100; (0 2 2), 2θ = 49.23°, d 1.851, I = 25; (0 0 5), 2θ = 66.21°, d 1.411, I = 24

Structure:
a b c (Å): 13.5734 4.3457 8.1392
angles (deg): 90.00 119.86 90.00
Space group C2/m (No. 12)
One atom of each set of equivalent atoms:
1 Li 0.1301 0.0000 0.0164 [4 per cell]
2 Cu 0.0233 0.0000 0.3738 [4 per cell]
3 Cu 0.0984 0.5000 0.6223 [4 per cell]
4 Cu 0.2192 0.0000 0.3998 [4 per cell]
5 Sn 0.0533 0.5000 0.2225 [4 per cell]
6 Sn 0.2167 0.0000 0.7571 [4 per cell]

***

# 5
This entry pairs a crystal structure of CaCd2Ag with its simulated powder diffractogram. Radiation: Cu Kα X-rays. Structure: a crystal structure in Alexandria, relaxed with GGA-PBE.
Intensities are scaled so that the largest is 100.

Principal peaks in the range 10° ≤ 2θ ≤ 80°, by angle:
(0 0 1), 2θ = 20.06°, d 4.426, I = 59; (1 1 0), 2θ = 21.01°, d 4.228, I = 49; (0 2 1), 2θ = 29.23°, d 3.056, I = 95; (2 0 -1), 2θ = 33.67°, d 2.662, I = 83; (1 1 1), 2θ = 34.23°, d 2.619, I = 81; (1 3 0), 2θ = 36.84°, d 2.440, I = 84; (1 3 -1), 2θ = 38.22°, d 2.355, I = 100; (1 1 -2), 2θ = 38.47°, d 2.340, I = 59; (2 2 0), 2θ = 42.77°, d 2.114, I = 43; (0 2 2), 2θ = 46.32°, d 1.960, I = 22; (3 1 0), 2θ = 57.69°, d 1.598, I = 28; (1 3 2), 2θ = 62.28°, d 1.491, I = 36

Structure:
a b c (Å): 5.3801 8.4471 4.8748
angles (deg): 90.00 114.78 90.00
Space group Cm (No. 8)
One atom of each set of equivalent atoms:
1 Ca 0.0000 0.0000 0.0000 [2 per cell]
2 Cd 0.1378 0.3269 0.3471 [4 per cell]
3 Ag 0.3750 0.0000 0.6859 [2 per cell]

***

# 6
This entry pairs a crystal structure of Tl2IrI2Cl4 with its simulated powder diffractogram. Radiation: Cu Kα X-rays. Structure: a crystal structure in Alexandria, relaxed with GGA-PBE.
Intensities are scaled so that the largest is 100.

Principal peaks in the range 10° ≤ 2θ ≤ 80°, by angle:
(1 0 1), 2θ = 14.76°, d 6.003, I = 57; (0 0 2), 2θ = 16.77°, d 5.287, I = 23; (1 1 2), 2θ = 24.11°, d 3.692, I = 48; (2 0 0), 2θ = 24.41°, d 3.646, I = 100; (2 0 2), 2θ = 29.76°, d 3.002, I = 92; (0 0 4), 2θ = 33.91°, d 2.643, I = 43; (2 2 0), 2θ = 34.79°, d 2.578, I = 79; (2 0 4), 2θ = 42.23°, d 2.140, I = 49; (2 2 4), 2θ = 49.38°, d 1.846, I = 58; (4 0 0), 2θ = 50.03°, d 1.823, I = 27; (4 0 4), 2θ = 61.82°, d 1.501, I = 29; (4 2 4), 2θ = 67.49°, d 1.388, I = 27

Structure:
a b c (Å): 7.2929 7.2929 10.5735
angles (deg): 90.00 90.00 90.00
Space group I4/mmm (No. 139)
One atom of each set of equivalent atoms:
1 Tl 0.0000 0.5000 0.2500 [4 per cell]
2 Ir 0.0000 0.0000 0.0000 [2 per cell]
3 I 0.0000 0.0000 0.2523 [4 per cell]
4 Cl 0.2276 0.2276 0.0000 [8 per cell]

***

# 7
This entry pairs a crystal structure of K3H3Pd with its simulated powder diffractogram. Radiation: Cu Kα X-rays. Structure: a crystal structure in Alexandria, relaxed with GGA-PBE.
Intensities are scaled so that the largest is 100.

Principal peaks in the range 10° ≤ 2θ ≤ 80°, by angle:
(2 0 0), 2θ = 16.45°, d 5.390, I = 24; (0 0 2), 2θ = 17.27°, d 5.136, I = 12; (2 0 2), 2θ = 23.93°, d 3.718, I = 21; (2 2 2), 2θ = 29.18°, d 3.061, I = 100; (4 0 0), 2θ = 33.24°, d 2.695, I = 36; (0 0 4), 2θ = 34.94°, d 2.568, I = 14; (4 2 0), 2θ = 37.30°, d 2.410, I = 10; (4 2 2), 2θ = 41.38°, d 2.182, I = 15; (4 4 0), 2θ = 47.73°, d 1.906, I = 11; (4 0 4), 2θ = 49.00°, d 1.859, I = 15; (6 0 2), 2θ = 54.11°, d 1.695, I = 8; (6 2 2), 2θ = 56.92°, d 1.618, I = 20

Structure:
a b c (Å): 10.7799 10.7799 10.2717
angles (deg): 90.00 90.00 90.00
Space group P4_2/mnm (No. 136)
One atom of each set of equivalent atoms:
1 K 0.0040 0.2507 0.2118 [16 per cell]
2 K 0.2067 0.2067 0.5000 [4 per cell]
3 K 0.2076 0.7924 0.5000 [4 per cell]
4 H 0.0000 0.0000 0.3350 [4 per cell]
5 H 0.0001 0.3439 0.5000 [8 per cell]
6 H 0.1109 0.1109 0.0000 [4 per cell]
7 H 0.2449 0.7551 0.2447 [8 per cell]
8 Pd 0.0000 0.0000 0.0000 [2 per cell]
9 Pd 0.0000 0.0000 0.5000 [2 per cell]
10 Pd 0.0000 0.5000 0.0000 [4 per cell]

***

# 8
This entry pairs a crystal structure of LiPuTlAu with its simulated powder diffractogram. Radiation: Cu Kα X-rays. Structure: a crystal structure in Alexandria, relaxed with GGA-PBE.
Intensities are scaled so that the largest is 100.

Principal peaks in the range 10° ≤ 2θ ≤ 80°, by angle:
(0 0 1), 2θ = 11.28°, d 7.846, I = 17; (1 0 1), 2θ = 29.39°, d 3.039, I = 56; (0 0 3), 2θ = 34.29°, d 2.615, I = 21; (1 0 2), 2θ = 35.57°, d 2.524, I = 100; (1 1 0), 2θ = 38.63°, d 2.331, I = 50; (1 1 3), 2θ = 52.60°, d 1.740, I = 26; (2 0 0), 2θ = 55.78°, d 1.648, I = 17; (1 1 4), 2θ = 61.82°, d 1.501, I = 10; (2 1 1), 2θ = 64.30°, d 1.449, I = 13; (1 0 5), 2θ = 65.93°, d 1.417, I = 17; (2 0 3), 2θ = 67.13°, d 1.394, I = 13; (2 1 2), 2θ = 67.93°, d 1.380, I = 32

Structure:
a b c (Å): 3.2963 3.2963 7.8460
angles (deg): 90.00 90.00 90.00
Space group P4mm (No. 99)
One atom of each set of equivalent atoms:
1 Li 0.0000 0.0000 0.0000 [1 per cell]
2 Pu 0.0000 0.0000 0.5542 [1 per cell]
3 Tl 0.5000 0.5000 0.2365 [1 per cell]
4 Au 0.5000 0.5000 0.8223 [1 per cell]

***

# 9
This entry pairs a crystal structure of Mg6ZrSc2 with its simulated powder diffractogram. Radiation: Cu Kα X-rays. Structure: a crystal structure in Alexandria, relaxed with GGA-PBE.
Intensities are scaled so that the largest is 100.

Principal peaks in the range 10° ≤ 2θ ≤ 80°, by angle:
(1 0 0), 2θ = 11.69°, d 7.568, I = 23; (1 1 0), 2θ = 20.32°, d 4.369, I = 35; (1 0 1), 2θ = 31.00°, d 2.885, I = 5; (1 1 1), 2θ = 35.35°, d 2.539, I = 100; (3 0 0), 2θ = 35.59°, d 2.523, I = 83; (2 2 0), 2θ = 41.33°, d 2.185, I = 5; (2 2 1), 2θ = 51.03°, d 1.790, I = 33; (0 0 2), 2θ = 59.22°, d 1.560, I = 6; (4 1 1), 2θ = 63.76°, d 1.460, I = 32; (3 3 0), 2θ = 63.92°, d 1.456, I = 14; (3 0 2), 2θ = 71.04°, d 1.327, I = 19; (6 0 0), 2θ = 75.35°, d 1.261, I = 8

Structure:
a b c (Å): 8.7387 8.7387 3.1204
angles (deg): 90.00 90.00 120.00
Space group P6/mmm (No. 191)
One atom of each set of equivalent atoms:
1 Mg 0.0000 0.3325 0.0000 [6 per cell]
2 Zr 0.0000 0.0000 0.5000 [1 per cell]
3 Sc 0.3333 0.6667 0.5000 [2 per cell]

***

# 10
This entry pairs a crystal structure of Pm3Ga2Pd2 with its simulated powder diffractogram. Radiation: Cu Kα X-rays. Structure: a crystal structure in Alexandria, relaxed with GGA-PBE.
Intensities are scaled so that the largest is 100.

Principal peaks in the range 10° ≤ 2θ ≤ 80°, by angle:
(0 2 3), 2θ = 29.27°, d 3.051, I = 25; (1 1 4), 2θ = 32.40°, d 2.763, I = 58; (2 1 0), 2θ = 33.13°, d 2.704, I = 49; (1 2 3), 2θ = 33.27°, d 2.693, I = 57; (2 1 1), 2θ = 33.79°, d 2.653, I = 26; (0 2 4), 2θ = 34.13°, d 2.627, I = 51; (1 3 0), 2θ = 36.35°, d 2.471, I = 77; (2 1 3), 2θ = 38.73°, d 2.325, I = 100; (0 0 6), 2θ = 39.57°, d 2.277, I = 37; (1 4 0), 2θ = 46.98°, d 1.934, I = 24; (1 3 6), 2θ = 54.81°, d 1.675, I = 21; (3 2 3), 2θ = 56.90°, d 1.618, I = 21

Structure:
a b c (Å): 5.7270 8.2191 13.6646
angles (deg): 90.00 90.00 90.00
Space group Pbcm (No. 57)
One atom of each set of equivalent atoms:
1 Pm 0.1409 0.2450 0.2500 [4 per cell]
2 Pm 0.3578 0.6043 0.1016 [8 per cell]
3 Ga 0.1645 0.2500 0.0000 [4 per cell]
4 Ga 0.3606 0.6104 0.7500 [4 per cell]
5 Pd 0.1238 0.5385 0.5924 [8 per cell]

***

# 11
This entry pairs a crystal structure of Tl2RuOF5 with its simulated powder diffractogram. Radiation: Cu Kα X-rays. Structure: a crystal structure in Alexandria, relaxed with GGA-PBE.
Intensities are scaled so that the largest is 100.

Principal peaks in the range 10° ≤ 2θ ≤ 80°, by angle:
(1 0 1), 2θ = 17.54°, d 5.057, I = 24; (0 0 2), 2θ = 19.07°, d 4.653, I = 17; (1 1 0), 2θ = 20.86°, d 4.259, I = 30; (1 1 2), 2θ = 28.41°, d 3.142, I = 100; (2 0 0), 2θ = 29.66°, d 3.012, I = 43; (2 0 2), 2θ = 35.50°, d 2.528, I = 41; (0 0 4), 2θ = 38.70°, d 2.327, I = 18; (2 2 0), 2θ = 42.45°, d 2.130, I = 28; (2 0 4), 2θ = 49.50°, d 1.841, I = 20; (3 1 2), 2θ = 51.87°, d 1.763, I = 38; (2 2 4), 2θ = 58.78°, d 1.571, I = 20; (3 1 6), 2θ = 79.72°, d 1.203, I = 12

Structure:
a b c (Å): 6.0235 6.0235 9.3069
angles (deg): 90.00 90.00 90.00
Space group I4mm (No. 107)
One atom of each set of equivalent atoms:
1 Tl 0.0000 0.5000 0.0000 [4 per cell]
2 Ru 0.0000 0.0000 0.2466 [2 per cell]
3 O 0.0000 0.0000 0.0526 [2 per cell]
4 F 0.0000 0.0000 0.4665 [2 per cell]
5 F 0.2276 0.2276 0.2568 [8 per cell]

***

# 12
This entry pairs a crystal structure of Pm2Si5Ru with its simulated powder diffractogram. Radiation: Cu Kα X-rays. Structure: a crystal structure in Alexandria, relaxed with GGA-PBE.
Intensities are scaled so that the largest is 100.

Principal peaks in the range 10° ≤ 2θ ≤ 80°, by angle:
(1 0 1), 2θ = 18.11°, d 4.899, I = 16; (1 1 0), 2θ = 21.45°, d 4.143, I = 18; (1 1 2), 2θ = 29.40°, d 3.038, I = 100; (2 0 0), 2θ = 30.52°, d 2.929, I = 35; (2 1 1), 2θ = 35.71°, d 2.514, I = 14; (2 0 2), 2θ = 36.69°, d 2.450, I = 44; (0 0 4), 2θ = 40.38°, d 2.234, I = 18; (2 2 0), 2θ = 43.70°, d 2.071, I = 32; (1 1 4), 2θ = 46.16°, d 1.967, I = 22; (3 1 2), 2θ = 53.55°, d 1.711, I = 34; (2 2 4), 2θ = 61.01°, d 1.519, I = 19; (3 1 4), 2θ = 65.45°, d 1.426, I = 12

Structure:
a b c (Å): 5.8585 5.8585 8.9350
angles (deg): 90.00 90.00 90.00
Space group I4mm (No. 107)
One atom of each set of equivalent atoms:
1 Pm 0.0000 0.5000 0.0000 [4 per cell]
2 Si 0.0000 0.0000 0.4473 [2 per cell]
3 Si 0.2101 0.2101 0.2453 [8 per cell]
4 Ru 0.0000 0.0000 0.7084 [2 per cell]